# 1
Starting from a GGA-PBE-relaxed structure, the powder diffraction line list of Rb2Cd2SbP was simulated for copper Kα.

Cell: 4.6833 4.6833 10.7764 Å, 90.00 90.00 120.00°
Space group P-6m2 (No. 187)
Asymmetric unit:
Rb 0.0000 0.0000 0.2396 (multiplicity 2)
Cd 0.3333 0.6667 0.5000 (multiplicity 1)
Cd 0.6667 0.3333 0.0000 (multiplicity 1)
Sb 0.6667 0.3333 0.5000 (multiplicity 1)
P 0.3333 0.6667 0.0000 (multiplicity 1)

Peak list (10 most intense, 10° ≤ 2θ ≤ 90°, sorted by position)
2θ = 16.45°, intensity 19
2θ = 27.53°, intensity 100
2θ = 33.26°, intensity 24
2θ = 38.44°, intensity 45
2θ = 42.07°, intensity 10
2θ = 47.93°, intensity 21
2θ = 51.72°, intensity 37
2θ = 55.99°, intensity 12
2θ = 63.05°, intensity 18
2θ = 79.29°, intensity 10


# 2
Starting from a GGA-PBE-relaxed structure, the powder diffraction line list of Rb4TlCd2Pb was simulated for copper Kα.

Cell: 5.936 5.936 8.500 Å, 90.00 90.00 90.00°
Space group P-4m2 (No. 115)
Asymmetric unit:
Rb 0.000 0.000 0.000 (multiplicity 1)
Rb 0.000 0.500 0.248 (multiplicity 2)
Rb 0.500 0.500 0.500 (multiplicity 1)
Tl 0.500 0.500 0.000 (multiplicity 1)
Cd 0.000 0.500 0.747 (multiplicity 2)
Pb 0.000 0.000 0.500 (multiplicity 1)

Peak list (10 most intense, 10° ≤ 2θ ≤ 90°, sorted by position)
2θ = 18.23°, intensity 18
2θ = 29.92°, intensity 100
2θ = 30.11°, intensity 49
2θ = 43.10°, intensity 18
2θ = 53.00°, intensity 20
2θ = 53.35°, intensity 39
2θ = 62.17°, intensity 12
2θ = 85.96°, intensity 10
2θ = 86.44°, intensity 10
2θ = 86.73°, intensity 10


# 3
Starting from a GGA-PBE-relaxed structure, the powder diffraction line list of Sc2Cd2Pb3 was simulated for copper Kα.

Cell: 5.0964 5.0964 24.2421 Å, 90.00 90.00 120.00°
Space group R3m (No. 160, hexagonal axes)
Asymmetric unit:
Sc 0.0000 0.0000 0.0000 (multiplicity 3)
Sc 0.0000 0.0000 0.4376 (multiplicity 3)
Cd 0.0000 0.0000 0.1267 (multiplicity 3)
Cd 0.0000 0.0000 0.7197 (multiplicity 3)
Pb 0.0000 0.0000 0.3069 (multiplicity 3)
Pb 0.0000 0.0000 0.5757 (multiplicity 3)
Pb 0.0000 0.0000 0.8508 (multiplicity 3)

Peak list (10 most intense, 10° ≤ 2θ ≤ 90°, sorted by position)
2θ = 24.96°, intensity 50
2θ = 32.87°, intensity 91
2θ = 35.22°, intensity 100
2θ = 35.95°, intensity 18
2θ = 46.03°, intensity 17
2θ = 48.94°, intensity 30
2θ = 61.72°, intensity 30
2θ = 63.20°, intensity 18
2θ = 68.79°, intensity 16
2θ = 83.82°, intensity 13


# 4
Starting from a GGA-PBE-relaxed structure, the powder diffraction line list of Sr2CdPb was simulated for copper Kα.

Cell: 5.784 7.949 5.784 Å, 90.00 90.00 90.00°
Space group Pmmn (No. 59, origin choice 2)
Asymmetric unit:
Sr 0.250 0.000 0.247 (multiplicity 4)
Cd 0.250 0.250 0.746 (multiplicity 2)
Pb 0.250 0.750 0.747 (multiplicity 2)

Peak list (10 most intense, 10° ≤ 2θ ≤ 90°, sorted by position)
2θ = 18.97°, intensity 10
2θ = 21.73°, intensity 10
2θ = 30.92°, intensity 52
2θ = 31.38°, intensity 100
2θ = 44.29°, intensity 19
2θ = 45.65°, intensity 9
2θ = 55.29°, intensity 40
2θ = 56.16°, intensity 19
2θ = 65.49°, intensity 12
2θ = 89.94°, intensity 11